This entry pairs a crystal structure of SrMgCu2F8 with its theoretical X-ray diffraction stick pattern. Radiation: Cu Ka. Structure: the PBE geometry in Alexandria.

Top 12 peaks for 5 to 70 degrees two-theta, low angle first:
| 2θ/deg | intensity | hkl |
| --- | --- | --- |
| 23.21 | 100 | 1 0 1 |
| 32.58 | 56 | 0 1 2 |
| 33.53 | 67 | 1 1 0 |
| 36.09 | 27 | 1 1 1 |
| 39.58 | 24 | 0 0 3 |
| 41.18 | 29 | 0 2 1 |
| 47.45 | 29 | 2 0 2 |
| 52.82 | 15 | 2 -1 3 |
| 54.11 | 23 | 2 1 1 |
| 59.35 | 27 | 3 -2 2 |
| 59.95 | 27 | 3 0 0 |
| 64.78 | 15 | 1 1 4 |

Crystal structure
Lattice parameters (Å, degrees): 5.3450 5.3450 6.8311 90.00 90.00 120.00
Element x y z (fractional)
Sr  0.0000  0.0000  0.0000
Mg  0.0000  0.0000  0.5000
Cu  0.3333  0.6667  0.7036
Cu  0.6667  0.3333  0.2964
F  0.0098  0.7174  0.3185
F  0.2826  0.2924  0.3185
F  0.2924  0.0098  0.6815
F  0.3333  0.6667  0.9746
F  0.6667  0.3333  0.0254
F  0.7076  0.9902  0.3185
F  0.7174  0.7076  0.6815
F  0.9902  0.2826  0.6815